Structure and calculated PXRD pattern of Pm2ZnSi2Ir5 (a structure optimized by DFT (PBE); CuKα).
Peak positions follow from Bragg's law for the DFT cell and can differ from measured ones.

Peak list (8 most intense, 10 to 90 degrees two-theta, in order of falling intensity)
- hkl 3 1 1, 38.67 deg, d = 2.328 Å, I 100
- hkl 4 1 0, 37.74 deg, d = 2.384 Å, I 77
- hkl 2 1 1, 32.62 deg, d = 2.745 Å, I 57
- hkl 3 2 1, 41.94 deg, d = 2.154 Å, I 43
- hkl 4 1 2, 66.04 deg, d = 1.415 Å, I 30
- hkl 2 2 1, 36.35 deg, d = 2.471 Å, I 30
- hkl 4 2 0, 41.07 deg, d = 2.198 Å, I 27
- hkl 0 0 2, 52.03 deg, d = 1.758 Å, I 26

Atomic structure:
a b c (Å): 9.828 9.828 3.515
angles (deg): 90.00 90.00 90.00
Fractional positions:
Pm 0.175 0.325 0.000
Pm 0.325 0.825 0.000
Pm 0.675 0.175 0.000
Pm 0.825 0.675 0.000
Zn 0.000 0.000 0.000
Zn 0.500 0.500 0.000
Si 0.124 0.624 0.000
Si 0.376 0.124 0.000
Si 0.624 0.876 0.000
Si 0.876 0.376 0.000
Ir 0.000 0.500 0.500
Ir 0.066 0.788 0.500
Ir 0.212 0.066 0.500
Ir 0.288 0.566 0.500
Ir 0.434 0.288 0.500
Ir 0.500 0.000 0.500
Ir 0.566 0.712 0.500
Ir 0.712 0.434 0.500
Ir 0.788 0.934 0.500
Ir 0.934 0.212 0.500